Diffraction record for FeP2Pb2O10. The PXRD pattern is simulated, not measured: it uses a PBE+U-relaxed structure and CuKα.
Peak positions follow from Bragg's law for the DFT cell and can differ from measured ones.

```
data_FeP2Pb2O10
_chemical_formula_sum 'Fe2 P4 Pb4 O20'
_symmetry_space_group_name_H-M 'P 1 21/c 1'
_symmetry_Int_Tables_number 14
_symmetry_space_group_name_Hall '-P 2ybc'
_cell_length_a 4.653
_cell_length_b 7.842
_cell_length_c 10.373
_cell_angle_alpha 90.00
_cell_angle_beta 93.17
_cell_angle_gamma 90.00
loop_
_atom_site_label
_atom_site_fract_x
_atom_site_fract_y
_atom_site_fract_z
Fe1 0.000 0.000 0.000
P1 0.472 0.229 0.579
Pb1 0.042 0.628 0.179
O1 0.147 0.087 0.853
O2 0.265 0.086 0.525
O3 0.268 0.123 0.119
O4 0.315 0.707 0.520
O5 0.357 0.671 0.798
```

Peak list (10 most intense, 15 to 90 degrees two-theta, in order of rising 2θ)
(1 0 0), d = 4.646 Å, rel. 1000; (0 2 1), d = 3.667 Å, rel. 892; (1 0 2), d = 3.367 Å, rel. 376; (1 1 -2), d = 3.240 Å, rel. 796; (0 1 3), d = 3.160 Å, rel. 488; (1 2 -1), d = 2.906 Å, rel. 490; (1 2 1), d = 2.851 Å, rel. 759; (1 1 -3), d = 2.677 Å, rel. 374; (1 1 3), d = 2.553 Å, rel. 341; (1 1 -4), d = 2.223 Å, rel. 411